PrMgAuSe3: theoretical PXRD pattern (Cu Ka), based on a DFT-relaxed cell (GGA-PBE, OQMD).

Main lines, low angle first (2θ = 10–80°):
Position (°2θ)	I_rel
13.2	70
28.8	36
31.4	21
34.5	100
35.5	24
44.1	24

Structural model:
```
PrMgAuSe3
1.0
1.966 -6.710 0.000
1.966 6.710 0.000
0.000 0.000 10.911
Pr Mg Au Se
2 2 2 6
Direct
0.000 0.000 0.000
0.000 0.000 0.500
0.225 0.775 0.750
0.775 0.225 0.250
0.477 0.523 0.250
0.523 0.477 0.750
0.114 0.886 0.250
0.343 0.657 0.076
0.343 0.657 0.424
0.657 0.343 0.576
0.657 0.343 0.924
0.886 0.114 0.750
```